# BiPd7Se2
Computed X-ray diffraction stick pattern, Cu Kα (λ = 1.5418 Å). Input: a cell relaxed with PBE.
Kinematic intensities with the Lorentz-polarization factor, no thermal factor.

Structural model:
a = 4.2636 Å, b = 4.2636 Å, c = 19.8257 Å
α = 90.00°, β = 90.00°, γ = 90.00°
Space group I4/mmm (No. 139)
Unique sites:
1 Bi 0.0000 0.0000 0.0000 (multiplicity 2)
2 Pd 0.0000 0.0000 0.5000 (multiplicity 2)
3 Pd 0.0000 0.5000 0.1015 (multiplicity 8)
4 Pd 0.0000 0.5000 0.2500 (multiplicity 4)
5 Se 0.0000 0.0000 0.3271 (multiplicity 4)

Top 10 peaks for 10 to 80 degrees two-theta, in order of rising 2θ:
24.85 deg, I = 23, (1 0 3); 31.00 deg, I = 20, (1 1 2); 34.83 deg, I = 23, (1 1 4); 36.25 deg, I = 11, (0 0 8); 40.50 deg, I = 100, (1 1 6); 42.40 deg, I = 53, (2 0 0); 56.98 deg, I = 12, (2 0 8); 61.52 deg, I = 17, (2 2 0); 72.36 deg, I = 10, (2 0 12); 76.28 deg, I = 31, (3 1 6)


# SnTeI2
Computed X-ray diffraction stick pattern, Cu Kα (λ = 1.5418 Å). Input: a cell relaxed with PBE.
Kinematic intensities with the Lorentz-polarization factor, no thermal factor.

Structural model:
a = 5.7235 Å, b = 11.3601 Å, c = 11.0954 Å
α = 90.00°, β = 90.00°, γ = 90.00°
Space group Ima2 (No. 46)
Unique sites:
1 Sn 0.2500 0.1333 0.0000 (multiplicity 4)
2 Te 0.0000 0.0000 0.2061 (multiplicity 4)
3 I 0.2500 0.1334 0.5833 (multiplicity 4)
4 I 0.2500 0.6465 0.3769 (multiplicity 4)

Top 10 peaks for 10 to 80 degrees two-theta, in order of rising 2θ:
11.15 deg, I = 53, (0 1 1); 23.67 deg, I = 100, (1 1 2); 24.84 deg, I = 59, (0 3 1); 25.33 deg, I = 45, (0 1 3); 32.86 deg, I = 36, (1 2 3); 33.28 deg, I = 38, (2 1 1); 35.29 deg, I = 32, (2 0 2); 35.51 deg, I = 30, (0 4 2); 44.97 deg, I = 40, (2 4 0); 46.74 deg, I = 63, (1 2 5)


# Tb3Ho5Sc
Computed X-ray diffraction stick pattern, Cu Kα (λ = 1.5418 Å). Input: a cell relaxed with PBE.
Kinematic intensities with the Lorentz-polarization factor, no thermal factor.

Structural model:
a = 12.0628 Å, b = 11.0890 Å, c = 11.4339 Å
α = 90.00°, β = 119.82°, γ = 90.00°
Space group C2/m (No. 12)
Unique sites:
1 Tb 0.0000 0.0000 0.0000 (multiplicity 2)
2 Tb 0.0000 0.0000 0.5000 (multiplicity 2)
3 Tb 0.1803 0.5000 0.2417 (multiplicity 4)
4 Tb 0.2184 0.0000 0.3437 (multiplicity 4)
5 Ho 0.0000 0.2839 0.0000 (multiplicity 4)
6 Ho 0.0065 0.5000 0.3722 (multiplicity 4)
7 Ho 0.1760 0.2558 0.8040 (multiplicity 8)
8 Ho 0.1778 0.5000 0.9567 (multiplicity 4)
9 Sc 0.0670 0.0000 0.7889 (multiplicity 4)

Top 10 peaks for 10 to 80 degrees two-theta, in order of rising 2θ:
15.98 deg, I = 47, (0 2 0); 18.33 deg, I = 39, (0 2 1); 27.98 deg, I = 58, (2 2 1); 28.65 deg, I = 85, (2 2 -3); 30.37 deg, I = 48, (2 0 2); 32.29 deg, I = 100, (0 4 0); 33.19 deg, I = 34, (1 1 3); 33.31 deg, I = 45, (3 1 -4); 34.80 deg, I = 74, (4 2 -1); 35.35 deg, I = 49, (2 2 -4)


# Ba2Ca2Tl2Cu3O10
Computed X-ray diffraction stick pattern, Cu Kα (λ = 1.5418 Å). Input: a cell relaxed with PBE.
Kinematic intensities with the Lorentz-polarization factor, no thermal factor.

Structural model:
a = 37.1905 Å, b = 3.8699 Å, c = 3.8892 Å
α = 90.00°, β = 96.00°, γ = 90.00°
Space group Cm (No. 8)
Unique sites:
1 Ba 0.0000 0.0000 0.0000 (multiplicity 2)
2 Ba 0.2182 0.5000 0.7180 (multiplicity 2)
3 Ca 0.3150 0.5000 0.8152 (multiplicity 2)
4 Ca 0.4032 0.5000 0.9036 (multiplicity 2)
5 Tl 0.0777 0.5000 0.6130 (multiplicity 2)
6 Tl 0.1405 0.0000 0.1759 (multiplicity 2)
7 Cu 0.2739 0.0000 0.2740 (multiplicity 2)
8 Cu 0.3590 0.0000 0.3595 (multiplicity 2)
9 Cu 0.4442 0.0000 0.4447 (multiplicity 2)
10 O 0.0216 0.5000 0.5158 (multiplicity 2)
11 O 0.0841 0.0000 0.9927 (multiplicity 2)
12 O 0.1342 0.5000 0.5430 (multiplicity 2)
13 O 0.1966 0.0000 0.1909 (multiplicity 2)
14 O 0.2733 0.0000 0.7734 (multiplicity 2)
15 O 0.2734 0.5000 0.2736 (multiplicity 2)
16 O 0.3590 0.0000 0.8595 (multiplicity 2)
17 O 0.3591 0.5000 0.3595 (multiplicity 2)
18 O 0.4448 0.0000 0.9453 (multiplicity 2)
19 O 0.4448 0.5000 0.4452 (multiplicity 2)

Top 10 peaks for 10 to 80 degrees two-theta, in order of rising 2θ:
25.88 deg, I = 18, (4 0 1); 28.54 deg, I = 100, (6 0 1); 31.72 deg, I = 52, (8 0 1); 32.64 deg, I = 77, (1 1 -1); 33.01 deg, I = 18, (1 1 1); 33.93 deg, I = 24, (14 0 0); 46.71 deg, I = 19, (2 0 -2); 46.96 deg, I = 22, (0 2 0); 47.80 deg, I = 27, (13 1 1); 55.85 deg, I = 18, (6 2 1)


# V5GeB
Computed X-ray diffraction stick pattern, Cu Kα (λ = 1.5418 Å). Input: a cell relaxed with PBE.
Kinematic intensities with the Lorentz-polarization factor, no thermal factor.

Structural model:
a = 6.7334 Å, b = 7.3386 Å, c = 7.5133 Å
α = 90.00°, β = 100.53°, γ = 90.00°
Space group C2/c (No. 15)
Unique sites:
1 V 0.0000 0.1190 0.2500 (multiplicity 4)
2 V 0.1328 0.2312 0.6415 (multiplicity 8)
3 V 0.2205 0.4047 0.0274 (multiplicity 8)
4 Ge 0.0000 0.4604 0.2500 (multiplicity 4)
5 B 0.0000 0.0000 0.0000 (multiplicity 4)

Top 10 peaks for 10 to 80 degrees two-theta, in order of rising 2θ:
38.61 deg, I = 60, (1 1 -3); 39.26 deg, I = 15, (1 3 0); 39.75 deg, I = 74, (2 0 2); 41.27 deg, I = 47, (2 2 -2); 41.96 deg, I = 100, (1 3 1); 42.38 deg, I = 46, (3 1 -1); 45.57 deg, I = 14, (3 1 -2); 55.73 deg, I = 22, (0 2 4); 61.46 deg, I = 15, (4 2 0); 73.66 deg, I = 15, (3 3 3)